[1]
The following is a simulated XRD peak list of CsPd4Cl7. It was derived from a cell relaxed with GGA-PBE, using Cu Kα, 1.54184 Å.
Peak positions follow from Bragg's law for the DFT cell and can differ from measured ones.

Crystal structure
Cell: 16.163 4.874 8.224 Å, 90.00 90.00 90.00°
Space group Pmn2_1 (No. 31)
One atom of each set of equivalent atoms:
Cs: 0.000 0.117 0.000 [2 per cell]
Pd: 0.092 0.588 0.442 [4 per cell]
Pd: 0.240 0.128 0.572 [4 per cell]
Cl: 0.000 0.580 0.671 [2 per cell]
Cl: 0.107 0.086 0.457 [4 per cell]
Cl: 0.145 0.622 0.173 [4 per cell]
Cl: 0.189 0.929 0.821 [4 per cell]

Main lines, by angle (10° ≤ 2θ ≤ 90°):
| (hkl) | 2θ/deg | I_rel |
| --- | --- | --- |
| 1 0 1 | 12.07 | 36 |
| 2 1 0 | 21.27 | 34 |
| 0 0 2 | 21.61 | 54 |
| 1 1 1 | 21.91 | 65 |
| 2 1 1 | 23.91 | 100 |
| 3 1 1 | 26.95 | 33 |
| 4 1 0 | 28.70 | 39 |
| 5 0 1 | 29.70 | 57 |
| 1 2 0 | 37.32 | 30 |
| 6 2 1 | 51.79 | 40 |

=====

[2]
The following is a simulated XRD peak list of La6Pr2Zn. It was derived from a cell relaxed with GGA-PBE, using Cu Kα, 1.54184 Å.
Peak positions follow from Bragg's law for the DFT cell and can differ from measured ones.

Crystal structure
Cell: 9.7820 9.7820 3.7902 Å, 90.00 90.00 120.00°
Space group P-62m (No. 189)
One atom of each set of equivalent atoms:
La: 0.0000 0.3772 0.0000 [3 per cell]
La: 0.0000 0.7391 0.5000 [3 per cell]
Pr: 0.3333 0.6667 0.5000 [2 per cell]
Zn: 0.0000 0.0000 0.0000 [1 per cell]

Main lines, by angle (10° ≤ 2θ ≤ 90°):
| (hkl) | 2θ/deg | I_rel |
| --- | --- | --- |
| 2 1 0 | 27.86 | 43 |
| 1 1 1 | 29.82 | 84 |
| 3 0 0 | 31.68 | 100 |
| 2 1 1 | 36.74 | 28 |
| 0 0 2 | 48.01 | 12 |
| 3 2 1 | 52.95 | 28 |
| 4 1 1 | 55.29 | 15 |
| 3 3 0 | 56.43 | 16 |
| 3 0 2 | 58.67 | 21 |
| 1 1 3 | 78.16 | 20 |

=====

[3]
The following is a simulated XRD peak list of AsPb4Se3. It was derived from a cell relaxed with GGA-PBE, using Cu Kα, 1.54184 Å.
Peak positions follow from Bragg's law for the DFT cell and can differ from measured ones.

Crystal structure
Cell: 8.710 12.325 4.332 Å, 90.00 90.00 90.00°
Space group Cmmm (No. 65)
One atom of each set of equivalent atoms:
As: 0.000 0.000 0.000 [2 per cell]
Pb: 0.000 0.247 0.000 [4 per cell]
Pb: 0.240 0.000 0.500 [4 per cell]
Se: 0.000 0.500 0.000 [2 per cell]
Se: 0.250 0.250 0.500 [4 per cell]

Main lines, by angle (10° ≤ 2θ ≤ 90°):
| (hkl) | 2θ/deg | I_rel |
| --- | --- | --- |
| 0 2 1 | 25.08 | 36 |
| 0 4 0 | 29.04 | 100 |
| 2 4 1 | 41.51 | 64 |
| 0 0 2 | 41.70 | 13 |
| 0 6 1 | 49.08 | 13 |
| 4 4 0 | 51.39 | 14 |
| 0 4 2 | 51.58 | 14 |
| 2 8 1 | 68.10 | 18 |
| 4 4 2 | 68.24 | 12 |
| 4 8 0 | 75.66 | 13 |

=====

[4]
The following is a simulated XRD peak list of La2UCuS6. It was derived from a cell relaxed with GGA-PBE, using Cu Kα, 1.54184 Å.
Peak positions follow from Bragg's law for the DFT cell and can differ from measured ones.

Crystal structure
Cell: 11.918 6.730 6.946 Å, 90.00 121.87 90.00°
Space group C2/m (No. 12)
One atom of each set of equivalent atoms:
La: 0.237 0.000 0.202 [4 per cell]
U: 0.000 0.000 0.500 [2 per cell]
Cu: 0.000 0.500 0.000 [2 per cell]
S: 0.067 0.258 0.824 [8 per cell]
S: 0.246 0.000 0.621 [4 per cell]

Main lines, by angle (10° ≤ 2θ ≤ 90°):
| (hkl) | 2θ/deg | I_rel |
| --- | --- | --- |
| 1 1 0 | 15.81 | 33 |
| 1 1 1 | 24.91 | 100 |
| 2 0 -2 | 25.70 | 30 |
| 3 1 -1 | 26.07 | 91 |
| 0 2 0 | 26.49 | 42 |
| 1 1 -2 | 29.82 | 33 |
| 2 2 -2 | 37.24 | 62 |
| 4 2 0 | 44.81 | 32 |
| 6 0 -2 | 45.78 | 31 |
| 5 1 -3 | 46.23 | 33 |

=====

[5]
The following is a simulated XRD peak list of La3Ni3Ge. It was derived from a cell relaxed with GGA-PBE, using Cu Kα, 1.54184 Å.
Peak positions follow from Bragg's law for the DFT cell and can differ from measured ones.

Crystal structure
Cell: 10.955 4.138 14.512 Å, 90.00 110.51 90.00°
Space group C2/m (No. 12)
One atom of each set of equivalent atoms:
La: 0.028 0.000 0.386 [4 per cell]
La: 0.100 0.000 0.924 [4 per cell]
La: 0.243 0.000 0.230 [4 per cell]
Ni: 0.054 0.500 0.235 [4 per cell]
Ni: 0.106 0.500 0.076 [4 per cell]
Ni: 0.141 0.500 0.539 [4 per cell]
Ge: 0.245 0.500 0.401 [4 per cell]

Main lines, by angle (10° ≤ 2θ ≤ 90°):
| (hkl) | 2θ/deg | I_rel |
| --- | --- | --- |
| 1 1 3 | 32.49 | 50 |
| 4 0 -2 | 32.71 | 26 |
| 1 1 -4 | 32.82 | 100 |
| 3 1 -2 | 32.96 | 24 |
| 3 1 -4 | 37.09 | 24 |
| 4 0 -5 | 38.93 | 17 |
| 3 1 2 | 39.85 | 66 |
| 0 2 0 | 43.74 | 41 |
| 3 1 -8 | 55.92 | 15 |
| 7 1 -3 | 63.58 | 21 |

=====

[6]
The following is a simulated XRD peak list of LaPmNdEr. It was derived from a cell relaxed with GGA-PBE, using Cu Kα, 1.54184 Å.
Peak positions follow from Bragg's law for the DFT cell and can differ from measured ones.

Crystal structure
Cell: 3.6594 3.6594 11.8401 Å, 90.00 90.00 120.00°
Space group P3m1 (No. 156)
One atom of each set of equivalent atoms:
La: 0.0000 0.0000 0.0000 [1 per cell]
Pm: 0.3333 0.6667 0.4908 [1 per cell]
Nd: 0.6667 0.3333 0.7415 [1 per cell]
Er: 0.6667 0.3333 0.2494 [1 per cell]

Main lines, by angle (10° ≤ 2θ ≤ 90°):
| (hkl) | 2θ/deg | I_rel |
| --- | --- | --- |
| 1 0 1 | 29.17 | 38 |
| 0 0 4 | 30.19 | 33 |
| 1 0 2 | 32.03 | 100 |
| 0 1 3 | 36.36 | 22 |
| 1 1 0 | 49.84 | 25 |
| 1 0 6 | 54.80 | 22 |
| 1 1 4 | 59.38 | 29 |
| 0 2 2 | 60.48 | 16 |
| 2 1 2 | 82.09 | 14 |
| 1 1 8 | 84.13 | 11 |

=====

[7]
The following is a simulated XRD peak list of Hg7As6. It was derived from a cell relaxed with GGA-PBE, using Cu Kα, 1.54184 Å.
Peak positions follow from Bragg's law for the DFT cell and can differ from measured ones.

Crystal structure
Cell: 7.2832 7.2832 30.8708 Å, 90.00 90.00 120.00°
Space group R-3m (No. 166, hexagonal axes)
One atom of each set of equivalent atoms:
Hg: 0.0000 0.0000 0.0000 [3 per cell]
Hg: 0.0044 0.5022 0.4237 [18 per cell]
As: 0.0000 0.0000 0.1375 [6 per cell]
As: 0.0000 0.0000 0.2924 [6 per cell]
As: 0.0000 0.0000 0.4653 [6 per cell]

Main lines, by angle (10° ≤ 2θ ≤ 90°):
| (hkl) | 2θ/deg | I_rel |
| --- | --- | --- |
| 1 0 1 | 14.33 | 57 |
| 0 0 6 | 17.23 | 44 |
| 1 0 4 | 18.16 | 25 |
| 0 2 1 | 28.45 | 53 |
| 2 0 2 | 28.90 | 43 |
| 1 1 6 | 30.06 | 50 |
| 2 0 5 | 31.86 | 28 |
| 0 2 7 | 34.98 | 100 |
| 2 2 0 | 50.10 | 43 |
| 4 0 7 | 62.54 | 30 |

=====

[8]
The following is a simulated XRD peak list of Mg3Ru5. It was derived from a cell relaxed with GGA-PBE, using Cu Kα, 1.54184 Å.
Peak positions follow from Bragg's law for the DFT cell and can differ from measured ones.

Crystal structure
Cell: 4.955 13.940 7.569 Å, 90.00 108.40 90.00°
Space group C2/m (No. 12)
One atom of each set of equivalent atoms:
Mg: 0.000 0.189 0.000 [4 per cell]
Mg: 0.000 0.235 0.500 [4 per cell]
Mg: 0.202 0.500 0.386 [4 per cell]
Ru: 0.088 0.349 0.186 [8 per cell]
Ru: 0.172 0.094 0.297 [8 per cell]
Ru: 0.236 0.000 0.969 [4 per cell]

Main lines, by angle (10° ≤ 2θ ≤ 90°):
| (hkl) | 2θ/deg | I_rel |
| --- | --- | --- |
| 0 0 1 | 12.32 | 55 |
| 0 2 0 | 12.70 | 46 |
| 0 4 2 | 35.91 | 100 |
| 2 0 -1 | 36.26 | 40 |
| 0 6 1 | 40.81 | 51 |
| 1 3 -3 | 41.37 | 40 |
| 1 5 1 | 41.58 | 36 |
| 2 0 -3 | 44.69 | 41 |
| 2 4 -1 | 44.89 | 67 |
| 1 7 -1 | 49.75 | 37 |

=====

[9]
The following is a simulated XRD peak list of Ca3Al2Si3. It was derived from a cell relaxed with GGA-PBE, using Cu Kα, 1.54184 Å.
Peak positions follow from Bragg's law for the DFT cell and can differ from measured ones.

Crystal structure
Cell: 4.328 11.295 14.893 Å, 90.00 90.00 90.00°
Space group Cmcm (No. 63)
One atom of each set of equivalent atoms:
Ca: 0.000 0.050 0.250 [4 per cell]
Ca: 0.000 0.349 0.106 [8 per cell]
Al: 0.000 0.363 0.617 [8 per cell]
Si: 0.000 0.085 0.045 [8 per cell]
Si: 0.000 0.228 0.750 [4 per cell]

Main lines, by angle (10° ≤ 2θ ≤ 90°):
| (hkl) | 2θ/deg | I_rel |
| --- | --- | --- |
| 1 1 3 | 28.48 | 32 |
| 1 3 0 | 31.50 | 52 |
| 1 3 1 | 32.08 | 27 |
| 1 1 4 | 32.70 | 100 |
| 0 4 2 | 33.98 | 22 |
| 0 0 6 | 36.19 | 20 |
| 1 3 4 | 39.92 | 29 |
| 0 4 4 | 40.08 | 24 |
| 2 0 0 | 41.74 | 42 |
| 1 3 5 | 44.05 | 32 |

=====

[10]
The following is a simulated XRD peak list of PbI2. It was derived from a cell relaxed with GGA-PBE, using Cu Kα, 1.54184 Å.
Peak positions follow from Bragg's law for the DFT cell and can differ from measured ones.

Crystal structure
Cell: 4.6543 4.6543 14.9747 Å, 90.00 90.00 120.00°
Space group P6_3mc (No. 186)
One atom of each set of equivalent atoms:
Pb: 0.3333 0.6667 0.0000 [2 per cell]
I: 0.0000 0.0000 0.1249 [2 per cell]
I: 0.3333 0.6667 0.3751 [2 per cell]

Main lines, by angle (10° ≤ 2θ ≤ 90°):
| (hkl) | 2θ/deg | I_rel |
| --- | --- | --- |
| 0 0 2 | 11.82 | 73 |
| 1 0 1 | 22.85 | 38 |
| 1 0 2 | 25.09 | 90 |
| 1 0 3 | 28.46 | 100 |
| 1 0 4 | 32.65 | 27 |
| 1 0 5 | 37.41 | 49 |
| 1 1 0 | 38.69 | 65 |
| 1 1 2 | 40.60 | 24 |
| 0 0 8 | 48.70 | 34 |
| 1 1 8 | 63.84 | 51 |

=====

[11]
The following is a simulated XRD peak list of AlV4H2. It was derived from a cell relaxed with GGA-PBE, using Cu Kα, 1.54184 Å.
Peak positions follow from Bragg's law for the DFT cell and can differ from measured ones.

Crystal structure
Cell: 4.416 5.380 6.625 Å, 97.71 108.27 90.78°
Space group P1 (No. 1)
One atom of each set of equivalent atoms:
Al: 0.000 0.000 0.000 [1 per cell]
Al: 0.237 0.893 0.426 [1 per cell]
V: 0.006 0.492 0.020 [1 per cell]
V: 0.209 0.386 0.406 [1 per cell]
V: 0.428 0.780 0.821 [1 per cell]
V: 0.438 0.261 0.821 [1 per cell]
V: 0.638 0.185 0.225 [1 per cell]
V: 0.651 0.691 0.215 [1 per cell]
V: 0.818 0.101 0.602 [1 per cell]
V: 0.833 0.614 0.608 [1 per cell]
H: 0.051 0.383 0.756 [1 per cell]
H: 0.282 0.740 0.032 [1 per cell]
H: 0.378 0.436 0.205 [1 per cell]
H: 0.501 0.496 0.669 [1 per cell]

Main lines, by angle (10° ≤ 2θ ≤ 90°):
| (hkl) | 2θ/deg | I_rel |
| --- | --- | --- |
| 2 0 -1 | 40.89 | 35 |
| -1 2 1 | 41.03 | 34 |
| 1 2 0 | 41.28 | 100 |
| 1 0 -3 | 42.00 | 33 |
| 2 -2 1 | 58.79 | 10 |
| 2 2 -3 | 60.24 | 10 |
| 0 2 3 | 60.44 | 10 |
| -3 2 2 | 74.42 | 9 |
| 2 2 2 | 75.27 | 13 |
| 2 4 0 | 89.65 | 6 |